Record 1
The following is a calculated PXRD pattern of ErReAgO6. It was derived from a crystal structure in Alexandria, relaxed with PBE, using Cu Kα (λ = 1.5418 Å).
Neutral-atom scattering factors, no anomalous dispersion.

Largest 6 diffraction maxima, by angle, 2θ = 10–90°:
d/Å, 2θ/deg, Rel. int.
4.789, 18.53, 69.1
3.752, 23.71, 100.0
3.302, 27.00, 82.8
3.144, 28.39, 56.4
2.865, 31.22, 61.9
2.685, 33.37, 79.9

Structural model:
```
ErReAgO6
1.0
2.9285 -4.5598 0.0000
2.9285 4.5598 0.0000
-1.0119 0.0000 4.7886
Er Re Ag O
1 1 1 6
Cartesian
0.0000 0.0000 0.0000
2.9285 -1.4299 0.0000
2.4226 1.5643 2.3943
0.3246 -1.3632 3.6692
1.9850 -0.0258 0.9873
2.8601 -0.0258 3.8013
2.2199 -2.7252 1.0762
2.6252 -2.7252 3.7124
4.5205 -1.3632 1.1194
```

---

Record 2
The following is a calculated PXRD pattern of Er3Ag3RuO8. It was derived from a crystal structure in Alexandria, relaxed with PBE, using Cu Kα (λ = 1.5418 Å).
Neutral-atom scattering factors, no anomalous dispersion.

Largest 6 diffraction maxima, by angle, 2θ = 10–90°:
d/Å, 2θ/deg, Rel. int.
5.762, 15.38, 27.3
2.881, 31.04, 35.5
2.748, 32.59, 86.5
2.407, 37.36, 100.0
1.731, 52.89, 21.6
1.673, 54.88, 32.0

Structural model:
```
Er3Ag3RuO8
1.0
5.7947 -3.3467 0.0000
5.7947 3.3467 0.0000
-3.8798 0.0000 5.7616
Er Ag Ru O
3 3 1 8
Cartesian
0.0000 0.0000 0.0000
2.8973 1.6734 0.0000
2.8973 -1.6734 0.0000
0.9574 1.6734 2.8808
0.9574 -1.6734 2.8808
3.8547 0.0000 2.8808
5.7947 0.0000 0.0000
1.9317 0.0000 1.0632
4.9120 1.5301 1.0765
0.1488 0.0000 4.6863
2.7975 1.5301 4.6851
4.9120 -1.5301 1.0765
7.5607 0.0000 1.0753
2.7975 -1.5301 4.6851
5.7778 0.0000 4.6984
```

---

Record 3
The following is a calculated PXRD pattern of SrErAg2O4. It was derived from a crystal structure in Alexandria, relaxed with PBE, using Cu Kα (λ = 1.5418 Å).
Neutral-atom scattering factors, no anomalous dispersion.

Largest 6 diffraction maxima, by angle, 2θ = 10–90°:
d/Å, 2θ/deg, Rel. int.
3.044, 29.34, 58.7
2.668, 33.59, 100.0
2.152, 41.98, 31.6
1.675, 54.80, 52.8
1.484, 62.58, 15.1
1.126, 86.38, 12.9

Structural model:
```
SrErAg2O4
1.0
6.0847 0.0000 0.0000
0.0000 6.0898 0.0000
0.0000 0.0000 6.8010
Sr Er Ag O
2 2 4 8
Cartesian
0.0000 0.0000 0.0000
3.0423 3.0449 3.4005
0.0000 0.0000 3.4005
3.0423 3.0449 0.0000
0.0000 3.0449 1.6937
0.0000 3.0449 5.1073
3.0423 0.0000 1.7068
3.0423 0.0000 5.0942
1.1612 1.1606 1.9803
1.1612 4.9292 4.8208
1.8812 1.8843 5.3808
1.8812 4.2055 1.4203
4.2035 1.8843 1.4203
4.2035 4.2055 5.3808
4.9235 1.1606 4.8208
4.9235 4.9292 1.9803
```

---

Record 4
The following is a calculated PXRD pattern of ErTa5Ag2O15. It was derived from a crystal structure in Alexandria, relaxed with PBE, using Cu Kα (λ = 1.5418 Å).
Neutral-atom scattering factors, no anomalous dispersion.

Largest 6 diffraction maxima, by angle, 2θ = 10–90°:
d/Å, 2θ/deg, Rel. int.
3.491, 25.52, 43.5
3.216, 27.74, 51.7
3.053, 29.26, 62.2
2.814, 31.79, 43.4
2.792, 32.05, 100.0
1.621, 56.81, 39.9

Structural model:
```
ErTa5Ag2O15
1.0
12.5867 0.0000 0.0000
0.0000 12.5867 0.0000
0.0000 0.0000 3.9186
Er Ta Ag O
2 10 4 30
Cartesian
0.0000 0.0000 0.0000
6.2934 6.2934 0.0000
0.0000 6.2934 1.9593
1.0021 2.6396 1.9593
2.6396 11.5846 1.9593
3.6537 5.2913 1.9593
5.2913 8.9330 1.9593
6.2934 0.0000 1.9593
7.2955 3.6537 1.9593
8.9330 7.2955 1.9593
9.9471 1.0021 1.9593
11.5846 9.9471 1.9593
2.0550 8.3484 0.0000
4.2384 2.0550 0.0000
8.3484 10.5317 0.0000
10.5317 4.2384 0.0000
0.0000 6.2934 0.0000
0.0094 8.2958 1.9593
0.7228 10.9503 1.9593
0.9841 2.3463 0.0000
1.6365 0.7228 1.9593
2.0024 6.3027 1.9593
2.3463 11.6026 0.0000
2.8137 3.4797 1.9593
3.4797 9.7730 1.9593
3.9470 5.3092 0.0000
4.2909 0.0094 1.9593
4.6569 7.0161 1.9593
5.3092 8.6397 0.0000
5.5706 4.6569 1.9593
6.2840 2.0024 1.9593
6.2934 0.0000 0.0000
6.3027 10.5843 1.9593
7.0161 7.9298 1.9593
7.2775 3.9470 0.0000
7.9298 5.5706 1.9593
8.2958 12.5774 1.9593
8.6397 7.2775 0.0000
9.1071 2.8137 1.9593
9.7730 9.1071 1.9593
10.2404 0.9841 0.0000
10.5843 6.2840 1.9593
10.9503 11.8640 1.9593
11.6026 10.2404 0.0000
11.8640 1.6365 1.9593
12.5774 4.2909 1.9593
```

---

Record 5
The following is a calculated PXRD pattern of Er3AgOs2. It was derived from a crystal structure in Alexandria, relaxed with PBE, using Cu Kα (λ = 1.5418 Å).
Neutral-atom scattering factors, no anomalous dispersion.

Largest 6 diffraction maxima, by angle, 2θ = 10–90°:
d/Å, 2θ/deg, Rel. int.
2.470, 36.37, 100.0
2.395, 37.56, 49.5
1.693, 54.17, 17.3
1.442, 64.64, 14.8
1.397, 67.01, 33.7
1.235, 77.23, 8.9

Structural model:
```
Er3AgOs2
1.0
3.3864 0.0000 0.0000
0.0000 3.3864 0.0000
0.0000 0.0000 10.8362
Er Ag Os
3 1 2
Cartesian
0.0000 0.0000 0.0000
0.0000 0.0000 3.3408
0.0000 0.0000 7.4954
1.6932 1.6932 5.4181
1.6932 1.6932 1.7608
1.6932 1.6932 9.0754
```

---

Record 6
The following is a calculated PXRD pattern of ErPaAgOs. It was derived from a crystal structure in Alexandria, relaxed with PBE, using Cu Kα (λ = 1.5418 Å).
Neutral-atom scattering factors, no anomalous dispersion.

Largest 6 diffraction maxima, by angle, 2θ = 10–90°:
d/Å, 2θ/deg, Rel. int.
4.047, 21.96, 4.3
2.478, 36.25, 100.0
1.752, 52.20, 17.7
1.431, 65.21, 36.4
1.239, 76.95, 11.4
1.108, 88.15, 16.8

Structural model:
```
ErPaAgOs
1.0
7.0091 0.0000 0.0000
0.0000 7.0091 0.0000
0.0000 0.0000 7.0091
Er Pa Ag Os
4 4 4 4
Cartesian
0.0000 0.0000 0.0000
0.0000 3.5045 3.5045
3.5045 0.0000 3.5045
3.5045 3.5045 0.0000
0.0000 0.0000 3.5045
0.0000 3.5045 0.0000
3.5045 0.0000 0.0000
3.5045 3.5045 3.5045
1.7523 1.7523 1.7523
1.7523 5.2568 5.2568
5.2568 1.7523 5.2568
5.2568 5.2568 1.7523
1.7523 1.7523 5.2568
1.7523 5.2568 1.7523
5.2568 1.7523 1.7523
5.2568 5.2568 5.2568
```

---

Record 7
The following is a calculated PXRD pattern of TbErAgOs. It was derived from a crystal structure in Alexandria, relaxed with PBE, using Cu Kα (λ = 1.5418 Å).
Neutral-atom scattering factors, no anomalous dispersion.

Largest 6 diffraction maxima, by angle, 2θ = 10–90°:
d/Å, 2θ/deg, Rel. int.
7.589, 11.66, 16.9
2.532, 35.45, 100.0
2.404, 37.41, 46.2
1.700, 53.94, 16.1
1.489, 62.35, 15.3
1.411, 66.22, 32.4

Structural model:
```
TbErAgOs
1.0
3.3997 0.0000 0.0000
0.0000 3.3997 0.0000
0.0000 0.0000 7.5890
Tb Er Ag Os
1 1 1 1
Cartesian
0.0000 0.0000 0.0000
0.0000 0.0000 4.2455
1.6999 1.6999 2.1757
1.6999 1.6999 5.8899
```

---

Record 8
The following is a calculated PXRD pattern of ErAgPb. It was derived from a crystal structure in Alexandria, relaxed with PBE, using Cu Kα (λ = 1.5418 Å).
Neutral-atom scattering factors, no anomalous dispersion.

Largest 6 diffraction maxima, by angle, 2θ = 10–90°:
d/Å, 2θ/deg, Rel. int.
4.023, 22.09, 45.3
2.741, 32.66, 86.3
2.537, 35.38, 86.1
2.351, 38.28, 100.0
1.725, 53.10, 27.1
1.393, 67.18, 36.5

Structural model:
```
ErAgPb
1.0
2.3512 1.3575 8.6504
-2.3512 1.3575 8.6504
0.0000 -2.7149 8.6504
Er Ag Pb
2 2 2
Cartesian
0.0000 0.0000 1.6459
0.0000 0.0000 24.3053
0.0000 0.0000 8.6290
0.0000 0.0000 17.3222
0.0000 0.0000 5.1383
0.0000 0.0000 20.8129
```

---

Record 9
The following is a calculated PXRD pattern of Er3Ag2Pb. It was derived from a crystal structure in Alexandria, relaxed with PBE, using Cu Kα (λ = 1.5418 Å).
Neutral-atom scattering factors, no anomalous dispersion.

Largest 6 diffraction maxima, by angle, 2θ = 10–90°:
d/Å, 2θ/deg, Rel. int.
2.609, 34.38, 100.0
2.575, 34.84, 19.5
1.833, 49.74, 13.9
1.506, 61.57, 21.7
1.493, 62.18, 14.4
1.304, 72.46, 11.1

Structural model:
```
Er3Ag2Pb
1.0
5.1497 0.0000 0.0000
0.0000 15.6638 0.0000
0.0000 0.0000 3.7112
Er Ag Pb
6 4 2
Cartesian
0.0000 0.0000 0.0000
0.0000 5.1295 0.0000
0.0000 10.5343 0.0000
2.5748 2.7024 0.0000
2.5748 7.8319 0.0000
2.5748 12.9614 0.0000
0.0000 2.6799 1.8556
0.0000 12.9839 1.8556
2.5748 5.1520 1.8556
2.5748 10.5118 1.8556
0.0000 7.8319 1.8556
2.5748 0.0000 1.8556
```

---

Record 10
The following is a calculated PXRD pattern of ErAgPbSe3. It was derived from a crystal structure in Alexandria, relaxed with PBE, using Cu Kα (λ = 1.5418 Å).
Neutral-atom scattering factors, no anomalous dispersion.

Largest 6 diffraction maxima, by angle, 2θ = 10–90°:
d/Å, 2θ/deg, Rel. int.
3.002, 29.76, 32.1
2.918, 30.64, 61.7
2.908, 30.75, 100.0
2.465, 36.45, 37.4
2.430, 36.99, 32.6
2.069, 43.75, 38.2

Structural model:
```
ErAgPbSe3
1.0
8.4246 0.0000 0.0000
0.0000 4.1382 0.0000
-2.2461 0.0000 9.0063
Er Ag Pb Se
2 2 2 6
Cartesian
1.1066 1.0346 1.5027
5.0718 3.1037 7.5036
2.5277 3.1037 3.7151
3.6508 1.0346 5.2912
0.8509 3.1037 6.8120
5.3276 1.0346 2.1942
-1.3638 1.0346 7.6332
0.9015 1.0346 4.3660
3.0692 3.1037 1.1206
3.1093 1.0346 7.8857
5.2770 3.1037 4.6403
7.5423 3.1037 1.3730
```

---

Record 11
The following is a calculated PXRD pattern of ErAgPd3. It was derived from a crystal structure in Alexandria, relaxed with PBE, using Cu Kα (λ = 1.5418 Å).
Neutral-atom scattering factors, no anomalous dispersion.

Largest 6 diffraction maxima, by angle, 2θ = 10–90°:
d/Å, 2θ/deg, Rel. int.
2.545, 35.26, 45.6
2.314, 38.92, 100.0
2.274, 39.63, 19.0
2.242, 40.22, 49.7
2.139, 42.25, 37.7
1.308, 72.24, 15.8

Structural model:
```
ErAgPd3
1.0
4.4841 0.0000 0.0000
0.0000 5.8151 0.0000
0.0000 0.0000 7.3006
Er Ag Pd
2 2 6
Cartesian
1.1210 1.4538 1.2066
3.3630 4.3613 6.0940
1.1210 4.3613 3.2706
3.3630 1.4538 4.0300
1.1210 0.1227 5.5095
1.1210 2.7849 5.5095
1.1210 4.3613 0.5717
3.3630 1.4538 6.7290
3.3630 3.0303 1.7911
3.3630 5.6924 1.7911
```

---

Record 12
The following is a calculated PXRD pattern of ErAg3Pd4. It was derived from a crystal structure in Alexandria, relaxed with PBE, using Cu Kα (λ = 1.5418 Å).
Neutral-atom scattering factors, no anomalous dispersion.

Largest 6 diffraction maxima, by angle, 2θ = 10–90°:
d/Å, 2θ/deg, Rel. int.
2.365, 38.05, 100.0
2.135, 42.34, 36.8
1.903, 47.81, 12.8
1.509, 61.43, 11.9
1.421, 65.69, 9.6
1.272, 74.59, 26.5

Structural model:
```
ErAg3Pd4
1.0
6.0386 0.0000 0.0000
0.0000 6.0364 0.0000
-3.0039 0.0000 7.6105
Er Ag Pd
2 6 8
Cartesian
0.0000 0.0000 0.0000
3.0193 3.0182 0.0000
0.0000 3.0182 0.0000
0.0092 3.0182 3.7846
0.0062 0.0000 3.8260
3.0193 0.0000 0.0000
3.0285 0.0000 3.7846
3.0255 3.0182 3.8260
-1.4984 1.5092 5.6956
-1.4984 4.5272 5.6956
1.5138 1.5090 1.9149
1.5138 4.5274 1.9149
1.5209 1.5090 5.6956
1.5209 4.5274 5.6956
4.5331 1.5092 1.9149
4.5331 4.5272 1.9149
```

---

Question: Number 7 is which compound?
Answer: TbErAgOs